For Ba3NiSb2O9, a PBE+U-relaxed structure gives the theoretical X-ray diffraction stick pattern in this record (Cu Kα (weighted mean of Kα1 and Kα2)).
No peak broadening, texture or thermal motion is included.

Atomic structure:
```
data_Ba3NiSb2O9
_chemical_formula_sum 'Ba6 Ni2 Sb4 O18'
_space_group_name_H-M_alt 'P 1'
_space_group_IT_number 1
_cell_length_a 5.920
_cell_length_b 5.920
_cell_length_c 14.640
_cell_angle_alpha 90.00
_cell_angle_beta 90.00
_cell_angle_gamma 120.00
loop_
_space_group_symop_operation_xyz
'x,y,z'
loop_
_atom_site_label
_atom_site_type_symbol
_atom_site_fract_x
_atom_site_fract_y
_atom_site_fract_z
Ba1 Ba 0.000 0.000 0.250
Ba2 Ba 0.000 0.000 0.750
Ba3 Ba 0.333 0.667 0.087
Ba4 Ba 0.333 0.667 0.413
Ba5 Ba 0.667 0.333 0.587
Ba6 Ba 0.667 0.333 0.913
Ni1 Ni 0.000 0.000 0.000
Ni2 Ni 0.000 0.000 0.500
Sb1 Sb 0.333 0.667 0.652
Sb2 Sb 0.333 0.667 0.848
Sb3 Sb 0.667 0.333 0.152
Sb4 Sb 0.667 0.333 0.348
O1 O 0.036 0.518 0.750
O2 O 0.169 0.337 0.584
O3 O 0.169 0.337 0.916
O4 O 0.169 0.831 0.584
O5 O 0.169 0.831 0.916
O6 O 0.337 0.169 0.084
O7 O 0.337 0.169 0.416
O8 O 0.482 0.518 0.750
O9 O 0.482 0.964 0.750
O10 O 0.518 0.036 0.250
O11 O 0.518 0.482 0.250
O12 O 0.663 0.831 0.584
O13 O 0.663 0.831 0.916
O14 O 0.831 0.169 0.084
O15 O 0.831 0.169 0.416
O16 O 0.831 0.663 0.084
O17 O 0.831 0.663 0.416
O18 O 0.964 0.482 0.250
```

Main lines, low angle first (5 to 70 degrees two-theta):
Position (°2θ)	I/Imax	hkl
25.19	15.6	1 0 3
30.00	55.7	1 0 4
30.19	100.0	1 1 0
35.30	24.3	1 0 5
39.72	14.1	2 0 3
43.08	33.2	2 0 4
47.12	15.6	2 0 5
53.51	21.8	2 1 4
53.63	19.7	3 0 0
62.79	18.7	2 2 0